Li2SnSe3: computed XRD peak list (CuKα), based on a crystal structure in the Materials Project, relaxed with PBE.
Intensities are scaled so that the largest is 100.

Atomic structure:
```
Li2SnSe3
1.0
6.3779 -3.6675 0.0000
6.3779 3.6675 0.0000
-4.1193 0.0000 6.8160
Li Sn Se
4 2 6
Cartesian
4.3183 3.1923 3.4080
8.5130 0.6648 0.2837
6.4534 -0.6648 3.6917
6.3779 -3.1923 0.0000
4.0447 0.6027 0.0007
1.9851 -0.6027 3.4087
0.0299 0.7393 2.5708
-2.0298 -0.7393 5.9788
4.2377 0.5600 2.6474
2.1781 -0.5600 6.0554
8.4445 0.6198 2.8011
6.3848 -0.6198 6.2091
```

Principal peaks in the range 2θ from 10° to 90°, most intense first:
Position (°2θ)  Rel. int.
24.2  100
26.1  69
14.5  61
42.7  57
16.2  34
27.8  34
27.6  29
42.5  29
35.6  25
47.4  25

=====

CsCeP4O12: computed XRD peak list (CuKα), based on a crystal structure in the Materials Project, relaxed with PBE.
Intensities are scaled so that the largest is 100.

Atomic structure:
```
CsCeP4O12
1.0
7.2968 0.0000 0.0000
0.0000 9.3601 0.0000
-1.4919 0.0000 8.8299
Cs Ce P O
2 2 8 24
Cartesian
1.0019 0.0000 1.5439
4.8030 4.6801 7.2860
1.1297 1.5515 6.1542
4.6752 6.2316 2.6758
0.2515 5.0512 4.7886
1.0731 5.5221 2.0058
2.9398 3.6452 0.6455
2.2803 7.2489 5.5092
3.5246 2.5688 3.3207
2.8651 8.3252 8.1845
4.7318 0.8421 6.8242
5.5535 0.3711 4.0414
-1.1701 1.2459 7.2217
-0.4360 1.0420 4.3442
0.2460 3.7932 5.6014
1.0448 4.7345 3.4224
1.4920 4.3140 1.0174
1.1561 6.1040 5.5958
2.1634 6.5538 2.0589
1.6772 8.5910 5.2385
1.2391 2.9575 8.1708
2.3838 2.0556 4.1471
1.7523 9.3186 8.0172
3.0440 2.4779 1.7644
2.7609 7.1579 7.0655
4.0527 4.6385 0.8127
3.4211 6.7356 4.6828
4.5658 7.6375 0.6591
4.1277 3.9109 3.5914
3.6416 1.8737 6.7711
4.6488 1.4240 3.2341
4.3129 8.9941 7.8126
4.7601 0.0544 5.4075
5.5589 8.4732 3.2285
6.2409 5.7221 4.4858
6.9750 5.9260 1.6082
```

Principal peaks in the range 2θ from 10° to 90°, most intense first:
Position (°2θ)  Rel. int.
25.7  100
15.5  82
13.8  78
30.4  74
21.8  71
22.7  70
25.4  64
26.9  60
19.6  57
36.0  48

=====

LaTiNbO6: computed XRD peak list (CuKα), based on a crystal structure in the Materials Project, relaxed with PBE.
Intensities are scaled so that the largest is 100.

Atomic structure:
```
LaTiNbO6
1.0
11.1619 0.0000 0.0000
0.0000 5.4820 0.0000
0.0000 0.0000 7.6475
La Ti Nb O
4 4 4 24
Cartesian
0.4558 0.2426 0.0000
5.1251 2.9836 3.8238
6.0368 2.4984 0.0000
10.7060 5.2394 3.8238
1.5874 2.9078 1.9661
3.9935 0.1668 5.7898
7.1683 5.3152 1.9661
9.5744 2.5742 5.7898
1.6326 2.9364 5.6909
3.9484 0.1954 1.8671
7.2135 5.2866 5.6909
9.5293 2.5456 1.8671
0.3038 1.4713 5.4747
0.3279 1.4730 2.1674
1.3723 3.5572 3.8004
1.5910 2.5395 0.0107
2.3268 4.7679 1.5006
2.3522 4.8104 6.1313
3.2287 2.0694 2.3075
3.2542 2.0269 5.3244
3.9900 5.2805 3.8344
4.2086 0.8162 7.6242
5.2531 4.2140 5.9912
5.2772 4.2123 1.6509
5.8847 1.2697 5.4747
5.9088 1.2680 2.1674
6.9532 4.6659 3.8004
7.1719 0.2015 0.0107
7.9077 3.4551 1.5006
7.9331 3.4126 6.1313
8.8097 0.6716 2.3075
8.8351 0.7141 5.3244
9.5709 2.9425 3.8344
9.7896 1.9249 7.6242
10.8340 4.0090 5.9912
10.8581 4.0107 1.6509
```

Principal peaks in the range 2θ from 10° to 90°, most intense first:
Position (°2θ)  Rel. int.
29.6  100
29.0  71
28.3  32
32.7  28
43.8  25
56.7  22
19.7  22
47.6  20
15.9  20
31.3  18